Diffraction record for NdHo2Mg3Ir2Pt. The PXRD pattern is computed, not measured: it uses DFT lattice parameters and positions (PBE) and Cu Kα (weighted mean of Kα1 and Kα2).
No peak broadening, texture or thermal motion is included.

Top 10 peaks for 10 to 90 degrees two-theta, sorted by position:
d = 3.680 Å, 2θ 24.18, rel. 49.9; d = 3.421 Å, 2θ 26.05, rel. 26.5; d = 2.725 Å, 2θ 32.87, rel. 63.3; d = 2.505 Å, 2θ 35.84, rel. 100.0; d = 2.125 Å, 2θ 42.55, rel. 36.6; d = 2.071 Å, 2θ 43.70, rel. 35.6; d = 2.027 Å, 2θ 44.71, rel. 22.5; d = 1.620 Å, 2θ 56.82, rel. 16.8; d = 1.467 Å, 2θ 63.43, rel. 22.7; d = 1.376 Å, 2θ 68.13, rel. 17.5

```
NdHo2Mg3Ir2Pt
1.0
4.054 0.000 0.000
0.000 6.381 3.677
0.000 -6.381 3.677
Nd Ho Mg Ir Pt
1 2 3 2 1
Direct
0.000 0.000 0.000
0.000 0.416 0.828
0.000 0.828 0.416
0.500 0.170 0.419
0.500 0.419 0.170
0.500 0.660 0.660
0.500 0.085 0.743
0.500 0.743 0.085
0.000 0.422 0.422
```


Diffraction record for NdTm2Mg3Al2Cd. The PXRD pattern is computed, not measured: it uses DFT lattice parameters and positions (PBE) and Cu Kα (weighted mean of Kα1 and Kα2).
No peak broadening, texture or thermal motion is included.

Top 10 peaks for 10 to 90 degrees two-theta, sorted by position:
d = 4.583 Å, 2θ 19.37, rel. 76.4; d = 3.248 Å, 2θ 27.46, rel. 28.6; d = 3.192 Å, 2θ 27.95, rel. 53.3; d = 2.892 Å, 2θ 30.92, rel. 45.7; d = 2.863 Å, 2θ 31.25, rel. 28.2; d = 2.650 Å, 2θ 33.83, rel. 50.1; d = 2.619 Å, 2θ 34.23, rel. 100.0; d = 2.292 Å, 2θ 39.32, rel. 31.8; d = 1.862 Å, 2θ 48.91, rel. 29.8; d = 1.674 Å, 2θ 54.84, rel. 22.3

```
NdTm2Mg3Al2Cd
1.0
4.583 0.000 0.000
0.000 6.495 3.666
0.000 -6.495 3.666
Nd Tm Mg Al Cd
1 2 3 2 1
Direct
0.000 0.000 0.000
0.000 0.427 0.858
0.000 0.858 0.427
0.500 0.186 0.430
0.500 0.430 0.186
0.500 0.676 0.676
0.500 0.097 0.756
0.500 0.756 0.097
0.000 0.441 0.441
```


What is the formula in the second record? NdTm2Mg3Al2Cd


Repeat the first record exactly.
Diffraction record for NdHo2Mg3Ir2Pt. The PXRD pattern is computed, not measured: it uses DFT lattice parameters and positions (PBE) and Cu Kα (weighted mean of Kα1 and Kα2).
No peak broadening, texture or thermal motion is included.

Top 10 peaks for 10 to 90 degrees two-theta, sorted by position:
d = 3.680 Å, 2θ 24.18, rel. 49.9; d = 3.421 Å, 2θ 26.05, rel. 26.5; d = 2.725 Å, 2θ 32.87, rel. 63.3; d = 2.505 Å, 2θ 35.84, rel. 100.0; d = 2.125 Å, 2θ 42.55, rel. 36.6; d = 2.071 Å, 2θ 43.70, rel. 35.6; d = 2.027 Å, 2θ 44.71, rel. 22.5; d = 1.620 Å, 2θ 56.82, rel. 16.8; d = 1.467 Å, 2θ 63.43, rel. 22.7; d = 1.376 Å, 2θ 68.13, rel. 17.5

```
NdHo2Mg3Ir2Pt
1.0
4.054 0.000 0.000
0.000 6.381 3.677
0.000 -6.381 3.677
Nd Ho Mg Ir Pt
1 2 3 2 1
Direct
0.000 0.000 0.000
0.000 0.416 0.828
0.000 0.828 0.416
0.500 0.170 0.419
0.500 0.419 0.170
0.500 0.660 0.660
0.500 0.085 0.743
0.500 0.743 0.085
0.000 0.422 0.422
```